1.
# TaCr3Ag2S8
Computed powder diffraction line list, a wavelength of 1.5418 Å. Input: the GGA-PBE geometry in Alexandria.
Neutral-atom scattering factors, no anomalous dispersion.

Crystal structure
Lattice parameters (Å, degrees): 7.335 10.230 7.240 90.00 90.00 90.00
Space group P222_1 (No. 17)
Inequivalent atoms, fractional coordinates:
Ta 0.033 0.000 0.000
Cr 0.254 0.252 0.246
Cr 0.498 0.500 0.500
Ag 0.000 0.386 0.750
Ag 0.500 0.142 0.750
S 0.005 0.237 0.474
S 0.233 0.008 0.259
S 0.282 0.484 0.248
S 0.497 0.266 0.464

Peak list (12 most intense, 2θ = 10–90°, in order of rising 2θ)
| index | 2theta | Rel. int. |
| --- | --- | --- |
| 1 1 0 | 14.86 | 12 |
| 2 0 0 | 24.27 | 19 |
| 1 2 1 | 24.53 | 36 |
| 2 1 1 | 28.65 | 30 |
| 1 3 0 | 28.87 | 100 |
| 2 0 2 | 34.82 | 15 |
| 0 4 2 | 43.28 | 14 |
| 3 1 2 | 45.65 | 25 |
| 2 1 3 | 45.88 | 14 |
| 1 5 0 | 46.07 | 18 |
| 2 4 2 | 50.27 | 49 |
| 0 0 4 | 50.42 | 13 |

2.
# TaCr3Ag2S8
Computed powder diffraction line list, a wavelength of 1.5418 Å. Input: the GGA-PBE geometry in Alexandria.
Neutral-atom scattering factors, no anomalous dispersion.

Crystal structure
Lattice parameters (Å, degrees): 5.923 3.459 12.933 90.00 90.16 90.00
Space group Pm (No. 6)
Inequivalent atoms, fractional coordinates:
Ta 0.000 0.000 0.000
Cr 0.454 0.500 0.998
Cr 0.514 0.500 0.505
Cr 0.980 0.000 0.491
Ag 0.005 0.000 0.739
Ag 0.493 0.500 0.257
S 0.142 0.500 0.118
S 0.161 0.500 0.594
S 0.318 0.000 0.884
S 0.332 0.000 0.402
S 0.632 0.000 0.100
S 0.665 0.000 0.607
S 0.796 0.500 0.894
S 0.830 0.500 0.389

Peak list (12 most intense, 2θ = 10–90°, in order of rising 2θ)
| index | 2theta | Rel. int. |
| --- | --- | --- |
| 0 0 2 | 13.69 | 30 |
| 1 0 -1 | 16.46 | 66 |
| 1 0 3 | 25.56 | 28 |
| 0 1 1 | 26.68 | 24 |
| 1 1 0 | 29.91 | 48 |
| 2 0 0 | 30.18 | 24 |
| 1 1 2 | 33.04 | 22 |
| 2 0 -2 | 33.22 | 26 |
| 1 1 4 | 41.15 | 100 |
| 2 0 -4 | 41.28 | 31 |
| 3 1 0 | 53.44 | 31 |
| 2 2 -4 | 69.29 | 19 |